Structure and theoretical powder XRD pattern of RbNa7Co2O6 (a cell relaxed with GGA+U; Cu Ka).
Intensities are scaled so that the largest is 1000.

The 8 most intense peaks (15° ≤ 2θ ≤ 90°), sorted by position:
- 2θ 18.05, I = 365
- 2θ 23.28, I = 624
- 2θ 27.18, I = 456
- 2θ 27.44, I = 410
- 2θ 32.94, I = 644
- 2θ 33.14, I = 1000
- 2θ 37.54, I = 484
- 2θ 40.79, I = 614

Structure:
a = 10.8945 Å, b = 4.4244 Å, c = 10.8110 Å
α = 90.00°, β = 91.48°, γ = 90.00°
Space group C2/m (No. 12)
Symmetry-distinct sites (fractional):
Rb 0.0000 0.0000 0.0000 (multiplicity 2)
Na 0.0000 0.5000 0.5000 (multiplicity 2)
Na 0.1448 0.0000 0.7200 (multiplicity 4)
Na 0.2263 0.5000 0.8954 (multiplicity 4)
Na 0.2335 0.0000 0.4064 (multiplicity 4)
Co 0.0841 0.5000 0.2401 (multiplicity 4)
O 0.0828 0.5000 0.7302 (multiplicity 4)
O 0.1767 0.5000 0.3948 (multiplicity 4)
O 0.1845 0.5000 0.1058 (multiplicity 4)